# 1
Calculated powder diffractogram of NbO2 for Cu Kα X-rays, from DFT lattice parameters and positions (GGA-PBE).
No peak broadening, texture or thermal motion is included.

Cell and atoms:
```
NbO2
1.0
6.566 -1.994 0.000
6.566 1.994 0.000
-2.088 0.000 6.585
Nb O
4 8
direct
0.100 0.100 0.207
0.195 0.195 0.790
0.805 0.805 0.210
0.900 0.900 0.793
0.057 0.057 0.863
0.137 0.137 0.503
0.260 0.260 0.152
0.363 0.363 0.807
0.637 0.637 0.193
0.740 0.740 0.848
0.863 0.863 0.497
0.943 0.943 0.137
```

Top 6 peaks for 15 to 90 degrees two-theta, low angle first:
two_theta  d/Å  Rel. int.
23.4  3.799  100
27.1  3.292  64
27.6  3.230  39
31.0  2.883  31
45.5  1.994  33
54.0  1.697  40

=====

# 2
Calculated powder diffractogram of UGe2Rh2 for Cu Kα X-rays, from DFT lattice parameters and positions (GGA-PBE).
No peak broadening, texture or thermal motion is included.

Cell and atoms:
```
UGe2Rh2
1.0
4.204 0.000 0.000
0.000 4.204 0.000
0.000 0.000 10.180
U Ge Rh
2 4 4
direct
0.250 0.250 0.244
0.750 0.750 0.756
0.250 0.250 0.631
0.250 0.750 0.000
0.750 0.250 0.000
0.750 0.750 0.369
0.250 0.250 0.869
0.250 0.750 0.500
0.750 0.250 0.500
0.750 0.750 0.131
```

Top 6 peaks for 15 to 90 degrees two-theta, low angle first:
two_theta  d/Å  Rel. int.
33.9  2.641  70
35.0  2.567  100
43.0  2.102  55
49.8  1.833  29
55.9  1.645  34
73.6  1.286  24